1.
The following is a simulated powder X-ray diffraction pattern of Y2Ho4Tm7. It was derived from a structure optimized by DFT (GGA-PBE), using copper Kα.
Peak positions follow from Bragg's law for the DFT cell and can differ from measured ones.

Peak list (6 most intense, 2θ from 10° to 90°, sorted by position)
| 2θ/deg | I_rel | h k l |
| --- | --- | --- |
| 31.24 | 443 | 0 1 3 |
| 31.85 | 1000 | 2 1 2 |
| 32.05 | 629 | 1 2 -1 |
| 32.38 | 516 | 2 0 -1 |
| 32.58 | 198 | 0 2 2 |
| 32.75 | 534 | 1 -1 3 |

Unit cell a=6.4526 b=6.6801 c=9.6819 alpha=86.86 beta=75.96 gamma=83.66
Space group P-1 (No. 2)
Unique sites:
Y1 0.2112 0.3192 0.3500 (multiplicity 2)
Ho1 0.1227 0.8313 0.2418 (multiplicity 2)
Ho2 0.3788 0.0321 0.8810 (multiplicity 2)
Tm1 0.0395 0.7085 0.9115 (multiplicity 2)
Tm2 0.2860 0.8893 0.5710 (multiplicity 2)
Tm3 0.3516 0.4077 0.6613 (multiplicity 2)
Tm4 0.5000 0.5000 0.0000 (multiplicity 1)



2.
The following is a simulated powder X-ray diffraction pattern of CsTiInBr6. It was derived from a structure optimized by DFT (GGA-PBE), using copper Kα.
Peak positions follow from Bragg's law for the DFT cell and can differ from measured ones.

Peak list (6 most intense, 2θ from 10° to 90°, sorted by position)
| 2θ/deg | I_rel | h k l |
| --- | --- | --- |
| 10.94 | 701 | 0 0 1 |
| 18.50 | 592 | 1 1 1 |
| 24.52 | 617 | -1 1 2 |
| 32.94 | 1000 | 1 1 3 |
| 33.92 | 564 | 2 -1 1 |
| 35.77 | 503 | 2 2 1 |

Unit cell a=6.7253 b=7.3697 c=8.8841 alpha=65.50 beta=89.42 gamma=88.71
Space group P1 (No. 1)
Unique sites:
Cs1 0.0000 0.0000 0.0000 (multiplicity 1)
Ti1 0.0001 0.6907 0.6187 (multiplicity 1)
In1 0.5004 0.2990 0.4026 (multiplicity 1)
Br1 0.1950 0.9872 0.6169 (multiplicity 1)
Br2 0.2252 0.6747 0.3879 (multiplicity 1)
Br3 0.2371 0.4650 0.8287 (multiplicity 1)
Br4 0.7631 0.7059 0.8292 (multiplicity 1)
Br5 0.7752 0.9373 0.3883 (multiplicity 1)
Br6 0.8054 0.3959 0.6169 (multiplicity 1)



3.
The following is a simulated powder X-ray diffraction pattern of SmHfTa. It was derived from a structure optimized by DFT (GGA-PBE), using copper Kα.
Peak positions follow from Bragg's law for the DFT cell and can differ from measured ones.

Peak list (6 most intense, 2θ from 10° to 90°, sorted by position)
| 2θ/deg | I_rel | h k l |
| --- | --- | --- |
| 30.79 | 1000 | 1 1 3 |
| 33.07 | 705 | 1 3 1 |
| 38.24 | 448 | 0 2 4 |
| 40.29 | 881 | 2 2 2 |
| 41.07 | 466 | 0 4 2 |
| 60.86 | 548 | 2 0 6 |

Unit cell a=5.7236 b=9.6253 c=10.7935 alpha=90.00 beta=90.00 gamma=90.00
Space group Fmmm (No. 69)
Unique sites:
Sm1 0.0000 0.1627 0.0000 (multiplicity 8)
Hf1 0.0000 0.0000 0.3297 (multiplicity 8)
Ta1 0.2500 0.2500 0.2500 (multiplicity 8)